Structure and calculated PXRD pattern of MgCuP4O12 (the GGA-PBE geometry in the Materials Project; Cu Ka).
Peak positions follow from Bragg's law for the DFT cell and can differ from measured ones.

Crystal structure
Unit cell a=11.9293 b=8.3779 c=10.0493 alpha=90.00 beta=118.68 gamma=90.00
Space group C2/c (No. 15)
Asymmetric unit:
1 Mg 0.0000 0.0485 0.2500 [4 per cell]
2 Cu 0.2500 0.2500 0.5000 [4 per cell]
3 P 0.0073 0.2603 0.9768 [8 per cell]
4 P 0.1950 0.4884 0.1960 [8 per cell]
5 O 0.0289 0.1213 0.9023 [8 per cell]
6 O 0.0491 0.2353 0.4169 [8 per cell]
7 O 0.0763 0.3929 0.6499 [8 per cell]
8 O 0.1413 0.3527 0.0666 [8 per cell]
9 O 0.2016 0.0758 0.3227 [8 per cell]
10 O 0.2316 0.4220 0.3486 [8 per cell]

Main lines, sorted by position (15 to 90 degrees two-theta):
| 2theta | I (rel.) | hkl |
| --- | --- | --- |
| 19.15 | 41 | 2 0 -2 |
| 20.65 | 21 | 1 1 -2 |
| 24.88 | 32 | 3 1 -1 |
| 26.05 | 18 | 3 1 -2 |
| 27.70 | 20 | 3 1 0 |
| 29.41 | 100 | 0 2 2 |
| 30.79 | 25 | 3 1 -3 |
| 34.27 | 23 | 4 0 0 |
| 37.21 | 18 | 4 2 -2 |
| 42.59 | 20 | 1 3 -3 |